1.
Tl2HgGeTe4: simulated powder diffraction line list (copper Kα), based on the GGA-PBE geometry in Alexandria.

Atomic structure:
Cell lengths 8.7979, 10.2152, 7.1661 Å; angles 90.00, 90.00, 90.00 degrees
Space group Pmn2_1 (No. 31)
One atom of each set of equivalent atoms:
Tl (0.2205, 0.1630, 0.0000) [4 per cell]
Hg (0.0000, 0.3712, 0.4524) [2 per cell]
Ge (0.0000, 0.6557, 0.9351) [2 per cell]
Te (0.0000, 0.4143, 0.0504) [2 per cell]
Te (0.0000, 0.6417, 0.5689) [2 per cell]
Te (0.2392, 0.7937, 0.0360) [4 per cell]

Top 8 peaks for 10° ≤ 2θ ≤ 90°, low angle first:
index	two_theta	I_rel
0 2 0	17.36	35.6
0 2 1	21.36	30.0
2 1 0	22.00	99.8
0 0 2	24.85	100.0
2 3 0	33.27	71.9
2 1 2	33.43	50.9
4 0 0	41.04	28.4
2 3 2	41.97	60.0

=====

2.
Y8HgGe3Te4: simulated powder diffraction line list (copper Kα), based on the GGA-PBE geometry in Alexandria.

Atomic structure:
Cell lengths 8.5213, 8.5213, 21.4367 Å; angles 90.00, 90.00, 120.00 degrees
Space group R-3m (No. 166, hexagonal axes)
One atom of each set of equivalent atoms:
Y (0.0000, 0.0000, 0.2391) [6 per cell]
Y (0.0120, 0.5060, 0.7569) [18 per cell]
Hg (0.0000, 0.0000, 0.5000) [3 per cell]
Ge (0.0000, 0.5000, 0.5000) [9 per cell]
Te (0.0000, 0.0000, 0.0000) [3 per cell]
Te (0.0000, 0.5000, 0.0000) [9 per cell]

Top 8 peaks for 10° ≤ 2θ ≤ 90°, low angle first:
index	two_theta	I_rel
0 2 4	29.39	100.0
2 0 8	41.66	36.3
2 2 0	42.43	36.7
4 0 4	52.45	19.2
0 4 8	60.97	11.4
2 2 12	68.55	14.7
2 4 4	69.67	15.9
4 2 8	77.10	11.3

=====

3.
Tl16Hg12Ge: simulated powder diffraction line list (copper Kα), based on the GGA-PBE geometry in Alexandria.

Atomic structure:
Cell lengths 11.9207, 17.0179, 10.1565 Å; angles 90.00, 125.11, 90.00 degrees
Space group Cm (No. 8)
One atom of each set of equivalent atoms:
Tl (0.0000, 0.0000, 0.0000) [2 per cell]
Tl (0.0008, 0.0000, 0.6397) [2 per cell]
Tl (0.0693, 0.3543, 0.0657) [4 per cell]
Tl (0.1000, 0.5000, 0.3166) [2 per cell]
Tl (0.1582, 0.1597, 0.2499) [4 per cell]
Tl (0.1953, 0.1777, 0.6523) [4 per cell]
Tl (0.1974, 0.5000, 0.9617) [2 per cell]
Tl (0.3122, 0.3034, 0.9758) [4 per cell]
Tl (0.4756, 0.1108, 0.6302) [4 per cell]
Tl (0.4869, 0.1906, 0.3300) [4 per cell]
Hg (0.0142, 0.2116, 0.8414) [4 per cell]
Hg (0.1849, 0.0000, 0.4596) [2 per cell]
Hg (0.2564, 0.4051, 0.6646) [4 per cell]
Hg (0.2578, 0.0975, 0.9994) [4 per cell]
Hg (0.3368, 0.3017, 0.4770) [4 per cell]
Hg (0.3687, 0.0000, 0.8329) [2 per cell]
Hg (0.4085, 0.4050, 0.2948) [4 per cell]
Ge (0.3225, 0.0000, 0.2863) [2 per cell]

Top 8 peaks for 10° ≤ 2θ ≤ 90°, low angle first:
index	two_theta	I_rel
1 5 1	31.72	86.9
1 5 -2	31.82	100.0
4 0 -3	32.04	69.0
1 3 -3	32.20	27.5
3 5 -1	35.08	37.8
3 1 1	35.36	17.9
2 0 -4	35.92	23.1
1 5 -5	57.39	20.7

=====

4.
YHg2Ge: simulated powder diffraction line list (copper Kα), based on the GGA-PBE geometry in Alexandria.

Atomic structure:
Cell lengths 4.3078, 4.3078, 4.9265 Å; angles 90.00, 90.00, 90.00 degrees
Space group P4/mmm (No. 123)
One atom of each set of equivalent atoms:
Y (0.0000, 0.0000, 0.0000) [1 per cell]
Hg (0.0000, 0.5000, 0.5000) [2 per cell]
Ge (0.5000, 0.5000, 0.0000) [1 per cell]

Top 8 peaks for 10° ≤ 2θ ≤ 90°, low angle first:
index	two_theta	I_rel
0 0 1	18.01	19.6
1 1 0	29.32	13.0
1 1 1	34.62	100.0
0 0 2	36.48	21.7
2 0 0	41.94	29.5
2 0 2	56.78	24.3
1 1 3	64.46	16.6
3 1 1	71.91	24.2

=====

5.
Y6Hg5Ge: simulated powder diffraction line list (copper Kα), based on the GGA-PBE geometry in Alexandria.

Atomic structure:
Cell lengths 5.2285, 7.3869, 15.7624 Å; angles 90.00, 90.00, 90.00 degrees
Space group Immm (No. 71)
One atom of each set of equivalent atoms:
Y (0.0000, 0.2388, 0.0000) [4 per cell]
Y (0.0000, 0.2571, 0.3383) [8 per cell]
Hg (0.0000, 0.0000, 0.1794) [4 per cell]
Hg (0.0000, 0.0000, 0.5000) [2 per cell]
Hg (0.0000, 0.5000, 0.1665) [4 per cell]
Ge (0.0000, 0.5000, 0.5000) [2 per cell]

Top 8 peaks for 10° ≤ 2θ ≤ 90°, low angle first:
index	two_theta	I_rel
0 2 0	24.04	14.9
0 0 6	34.13	19.3
2 0 0	34.28	100.0
2 0 6	49.17	13.8
1 2 9	61.19	13.1
3 2 3	61.40	21.7
2 4 0	61.47	7.4
4 0 0	72.24	11.0

=====

6.
Ho3Ge5: simulated powder diffraction line list (copper Kα), based on the GGA-PBE geometry in Alexandria.

Atomic structure:
Cell lengths 5.7520, 17.3364, 13.7140 Å; angles 90.00, 90.00, 90.00 degrees
Space group Fdd2 (No. 43)
One atom of each set of equivalent atoms:
Ho (0.0000, 0.0000, 0.0000) [8 per cell]
Ho (0.0154, 0.1679, 0.5081) [16 per cell]
Ge (0.0000, 0.0000, 0.4482) [8 per cell]
Ge (0.0018, 0.1626, 0.0870) [16 per cell]
Ge (0.0653, 0.1870, 0.9034) [16 per cell]

Top 8 peaks for 10° ≤ 2θ ≤ 90°, low angle first:
index	two_theta	I_rel
0 0 4	25.99	20.4
1 3 3	29.35	87.6
0 6 2	33.66	100.0
2 0 2	33.80	96.9
1 3 5	39.60	85.9
2 6 0	44.45	72.2
1 3 7	51.77	32.4
1 9 5	60.94	20.0

=====

7.
Ho5Ge3: simulated powder diffraction line list (copper Kα), based on the GGA-PBE geometry in Alexandria.

Atomic structure:
Cell lengths 7.7096, 7.7096, 13.2636 Å; angles 90.00, 90.00, 90.00 degrees
Space group I4/mcm (No. 140)
One atom of each set of equivalent atoms:
Ho (0.0000, 0.0000, 0.0000) [4 per cell]
Ho (0.1608, 0.3392, 0.1458) [16 per cell]
Ge (0.0000, 0.0000, 0.2500) [4 per cell]
Ge (0.1414, 0.3586, 0.5000) [8 per cell]

Top 8 peaks for 10° ≤ 2θ ≤ 90°, low angle first:
index	two_theta	I_rel
2 1 1	26.72	20.4
1 1 4	31.58	17.5
2 1 3	32.94	100.0
2 0 4	35.72	22.7
3 1 0	36.87	45.3
4 1 3	53.17	21.2
0 0 8	55.35	13.2
5 2 3	68.94	16.9

=====

8.
Ho4Ge2I5: simulated powder diffraction line list (copper Kα), based on the GGA-PBE geometry in Alexandria.

Atomic structure:
Cell lengths 4.1993, 8.4077, 20.2393 Å; angles 90.00, 90.00, 90.00 degrees
Space group Immm (No. 71)
One atom of each set of equivalent atoms:
Ho (0.0000, 0.0000, 0.1899) [4 per cell]
Ho (0.0000, 0.2957, 0.5000) [4 per cell]
Ge (0.0000, 0.0000, 0.0588) [4 per cell]
I (0.0000, 0.2270, 0.3294) [8 per cell]
I (0.0000, 0.5000, 0.0000) [2 per cell]

Top 8 peaks for 10° ≤ 2θ ≤ 90°, low angle first:
index	two_theta	I_rel
0 1 1	11.40	22.9
1 1 2	25.29	29.5
0 0 6	26.42	51.4
1 2 1	30.41	100.0
0 3 3	34.66	29.2
1 2 5	37.55	65.5
2 0 0	43.08	67.4
2 0 6	51.24	25.9

=====

9.
Ho3GeI3: simulated powder diffraction line list (copper Kα), based on the GGA-PBE geometry in Alexandria.

Atomic structure:
Cell lengths 7.1519, 7.1519, 34.2239 Å; angles 90.00, 90.00, 120.00 degrees
Space group R-3 (No. 148, hexagonal axes)
One atom of each set of equivalent atoms:
Ho (0.0000, 0.3366, 0.4549) [18 per cell]
Ge (0.0000, 0.0000, 0.1667) [6 per cell]
I (0.0000, 0.3327, 0.6040) [18 per cell]

Top 8 peaks for 10° ≤ 2θ ≤ 90°, low angle first:
index	two_theta	I_rel
1 1 0	24.90	20.4
1 1 6	29.48	100.0
1 1 9	34.43	19.9
2 -1 12	40.46	25.1
3 0 0	43.85	31.1
2 -1 15	47.26	11.2
4 -2 6	53.73	18.5
4 1 6	71.77	15.6